TbPH2Ru: simulated X-ray diffraction stick pattern (Cu Ka), based on a DFT-relaxed cell (GGA-PBE, Alexandria).
Lines closer than 0.1° are merged.

Peak list (10 most intense, 2θ from 10° to 90°, sorted by position)
2θ (°), I (rel.)
29.04, 100
34.90, 80
35.59, 54
35.76, 29
38.74, 55
38.90, 28
39.22, 64
47.40, 29
60.20, 33
60.53, 34

Cell and atoms:
```
10
Lattice="1.9179 -5.0217 0.0000 1.9179 5.0217 0.0000 0.0000 0.0000 5.9855" Properties=species:S:1:pos:R:3 pbc="T T T"
Tb 1.9179 2.8704 4.4891
Tb 1.9179 -2.8704 1.4964
P 1.9179 4.3422 1.4964
P 1.9179 -4.3422 4.4891
H 1.9179 1.6914 0.3775
H 1.9179 1.6914 2.6153
H 1.9179 -1.6914 3.3703
H 1.9179 -1.6914 5.6080
Ru 1.9179 0.0000 0.0000
Ru 1.9179 0.0000 2.9928
```

=====

AcLa3Te4: simulated X-ray diffraction stick pattern (Cu Ka), based on a DFT-relaxed cell (GGA-PBE, Alexandria).
Lines closer than 0.1° are merged.

Peak list (10 most intense, 2θ from 10° to 90°, sorted by position)
2θ (°), I (rel.)
26.75, 83
28.44, 75
36.91, 22
39.40, 100
48.29, 17
49.33, 16
63.04, 30
64.04, 14
64.91, 14
71.47, 23

Cell and atoms:
```
16
Lattice="4.5707 0.0000 0.0000 -2.2853 3.9583 0.0000 0.0000 0.0000 30.8851" Properties=species:S:1:pos:R:3 pbc="T T T"
Ac 0.0000 2.6389 7.7213
Ac 2.2853 1.3194 23.1638
La 0.0000 0.0000 0.0000
La 0.0000 0.0000 15.4426
La 0.0000 2.6389 19.1855
La 0.0000 2.6389 27.1421
La 2.2853 1.3194 3.7430
La 2.2853 1.3194 11.6996
Te 0.0000 0.0000 5.6451
Te 0.0000 0.0000 9.7975
Te 0.0000 0.0000 21.0876
Te 0.0000 0.0000 25.2400
Te 0.0000 2.6389 1.8822
Te 0.0000 2.6389 13.5603
Te 2.2853 1.3194 17.3248
Te 2.2853 1.3194 29.0029
```

=====

NdEr7: simulated X-ray diffraction stick pattern (Cu Ka), based on a DFT-relaxed cell (GGA-PBE, Alexandria).
Lines closer than 0.1° are merged.

Peak list (8 most intense, 2θ from 10° to 90°, sorted by position)
2θ (°), I (rel.)
31.10, 100
36.06, 51
51.92, 36
61.76, 43
64.84, 12
76.49, 6
84.84, 18
87.59, 17

Cell and atoms:
```
8
Lattice="0.0000 4.9815 4.9815 4.9815 0.0000 4.9815 4.9815 4.9815 0.0000" Properties=species:S:1:pos:R:3 pbc="T T T"
Nd 0.0000 0.0000 0.0000
Er 2.4908 2.4908 0.0000
Er 2.4908 0.0000 2.4908
Er 4.9815 2.4908 2.4908
Er 0.0000 2.4908 2.4908
Er 2.4908 4.9815 2.4908
Er 2.4908 2.4908 4.9815
Er 4.9815 4.9815 4.9815
```

=====

PAuCl7: simulated X-ray diffraction stick pattern (Cu Ka), based on a DFT-relaxed cell (GGA-PBE, Alexandria).
Lines closer than 0.1° are merged.

Peak list (10 most intense, 2θ from 10° to 90°, sorted by position)
2θ (°), I (rel.)
11.09, 64
11.37, 57
14.52, 100
18.12, 49
19.58, 48
20.03, 38
21.19, 45
24.12, 37
25.51, 26
28.67, 37

Cell and atoms:
```
18
Lattice="7.9217 0.0000 0.0000 1.4648 8.1022 0.0000 0.8727 1.7077 9.7890" Properties=species:S:1:pos:R:3 pbc="T T T"
P 2.5014 2.8206 2.2330
P 7.7578 6.9893 7.5559
Au 3.9341 1.8170 6.7985
Au 6.3251 7.9929 2.9905
Cl 0.8523 3.2789 3.3219
Cl 1.7590 2.3399 7.3306
Cl 1.7732 2.0525 0.5140
Cl 3.1747 4.6745 1.7105
Cl 4.1087 8.5145 3.5041
Cl 4.1153 3.7712 5.5968
Cl 5.2295 7.9166 7.9861
Cl 5.0297 1.8933 1.8028
Cl 6.1439 6.0387 4.1922
Cl 6.1505 1.2954 6.2849
Cl 7.0846 5.1355 8.0785
Cl 8.4860 7.7574 9.2749
Cl 8.5003 7.4701 2.4584
Cl 9.4069 6.5310 6.4670
```

=====

Pr10Dy4Er: simulated X-ray diffraction stick pattern (Cu Ka), based on a DFT-relaxed cell (GGA-PBE, Alexandria).
Lines closer than 0.1° are merged.

Peak list (10 most intense, 2θ from 10° to 90°, sorted by position)
2θ (°), I (rel.)
19.55, 30
22.62, 9
32.20, 100
37.95, 17
46.18, 18
50.60, 7
57.41, 39
61.25, 6
67.37, 12
76.64, 16

Cell and atoms:
```
15
Lattice="-6.2145 6.2145 3.9343 6.2145 -6.2145 3.9343 6.2145 6.2145 -3.9343" Properties=species:S:1:pos:R:3 pbc="T T T"
Pr 7.4492 3.7294 -1.9719
Pr 3.7294 4.9797 -1.9719
Pr 6.2145 0.0000 1.9672
Pr 2.4851 1.2348 1.9624
Pr -1.2348 2.4851 1.9624
Pr 7.4492 3.7294 1.9719
Pr 3.7294 4.9797 1.9719
Pr 0.0000 6.2145 1.9672
Pr 2.4851 1.2348 5.9062
Pr -1.2348 2.4851 5.9062
Dy 4.9662 2.4928 0.0000
Dy 3.7217 -1.2482 3.9343
Dy 2.4928 7.4627 0.0000
Dy 1.2482 3.7217 3.9343
Er 0.0000 0.0000 0.0000
```

=====

AcBPd4: simulated X-ray diffraction stick pattern (Cu Ka), based on a DFT-relaxed cell (GGA-PBE, Alexandria).
Lines closer than 0.1° are merged.

Peak list (10 most intense, 2θ from 10° to 90°, sorted by position)
2θ (°), I (rel.)
26.10, 20
31.07, 37
33.79, 90
34.28, 100
37.32, 21
44.51, 34
45.67, 31
51.98, 23
57.35, 20
65.67, 46

Cell and atoms:
```
12
Lattice="5.7575 0.0000 0.0000 0.0000 5.7575 0.0000 0.0000 0.0000 6.8277" Properties=species:S:1:pos:R:3 pbc="T T T"
Ac 0.0000 2.8787 0.0000
Ac 2.8787 0.0000 0.0000
B 0.0000 0.0000 3.4139
B 2.8787 2.8787 3.4139
Pd 0.0000 0.0000 1.3482
Pd 0.0000 0.0000 5.4795
Pd 0.9889 1.8898 3.4139
Pd 1.8898 4.7686 3.4139
Pd 2.8787 2.8787 1.3482
Pd 2.8787 2.8787 5.4795
Pd 3.8677 0.9889 3.4139
Pd 4.7686 3.8677 3.4139
```

=====

Tm3Ag3RuO8: simulated X-ray diffraction stick pattern (Cu Ka), based on a DFT-relaxed cell (GGA-PBE, Alexandria).
Lines closer than 0.1° are merged.

Peak list (10 most intense, 2θ from 10° to 90°, sorted by position)
2θ (°), I (rel.)
15.35, 29
18.50, 16
30.98, 37
32.77, 87
37.51, 100
52.91, 33
55.25, 32
64.62, 14
64.73, 18
68.70, 15

Cell and atoms:
```
15
Lattice="5.7589 -3.3255 0.0000 5.7589 3.3255 0.0000 -3.8527 0.0000 5.7725" Properties=species:S:1:pos:R:3 pbc="T T T"
Tm 0.0000 0.0000 0.0000
Tm 2.8794 1.6628 0.0000
Tm 2.8794 -1.6628 0.0000
Ag 0.9531 1.6628 2.8863
Ag 0.9531 -1.6628 2.8863
Ag 3.8325 0.0000 2.8863
Ru 5.7589 0.0000 0.0000
O 1.9198 0.0000 1.0585
O 4.8762 1.5298 1.0743
O 0.1401 0.0000 4.6992
O 2.7888 1.5298 4.6982
O 4.8762 -1.5298 1.0743
O 7.5249 0.0000 1.0733
O 2.7888 -1.5298 4.6982
O 5.7452 0.0000 4.7141
```

=====

Hg4PdBr2: simulated X-ray diffraction stick pattern (Cu Ka), based on a DFT-relaxed cell (GGA-PBE, Alexandria).
Lines closer than 0.1° are merged.

Peak list (10 most intense, 2θ from 10° to 90°, sorted by position)
2θ (°), I (rel.)
11.18, 27
17.61, 41
26.26, 100
32.87, 66
33.74, 94
33.97, 46
48.46, 34
48.63, 68
55.95, 26
60.50, 35

Cell and atoms:
```
7
Lattice="-2.6566 2.6566 7.9169 2.6566 -2.6566 7.9169 2.6566 2.6566 -7.9169" Properties=species:S:1:pos:R:3 pbc="T T T"
Hg 2.6566 0.0000 0.0000
Hg 0.0000 0.0000 2.6214
Hg 0.0000 2.6566 0.0000
Hg 0.0000 0.0000 13.2125
Pd 0.0000 0.0000 0.0000
Br 0.0000 0.0000 5.2586
Br 0.0000 0.0000 10.5753
```

=====

RbSrRhF6: simulated X-ray diffraction stick pattern (Cu Ka), based on a DFT-relaxed cell (GGA-PBE, Alexandria).
Lines closer than 0.1° are merged.

Peak list (10 most intense, 2θ from 10° to 90°, sorted by position)
2θ (°), I (rel.)
13.79, 60
23.42, 23
26.33, 56
27.48, 96
27.80, 100
29.24, 55
42.21, 35
43.26, 22
47.89, 70
56.73, 27

Cell and atoms:
```
18
Lattice="-3.7618 4.0664 5.2344 3.7618 -4.0664 5.2344 3.7618 4.0664 -5.2344" Properties=species:S:1:pos:R:3 pbc="T T T"
Rb 0.0000 2.0332 1.0407
Rb 3.7618 2.0332 4.1937
Sr 3.7618 0.0000 0.0000
Sr 0.0000 0.0000 5.2344
Rh 1.8809 2.0332 -2.6172
Rh 1.8809 -2.0332 2.6172
F 1.6133 -0.6136 1.2265
F 5.9102 -0.6136 1.2265
F 3.7618 2.0332 -1.8674
F 1.6133 3.4528 -1.2265
F 2.1484 -0.6136 4.0080
F 3.7618 2.0332 1.2542
F 0.0000 2.0332 3.9802
F 1.6133 4.6800 1.2265
F 2.1484 0.6136 6.4609
F 0.0000 2.0332 7.1018
F -2.1484 4.6800 4.0080
F 2.1484 4.6800 4.0080
```

=====

BaAs2Xe5F22: simulated X-ray diffraction stick pattern (Cu Ka), based on a DFT-relaxed cell (GGA-PBE, Alexandria).
Lines closer than 0.1° are merged.

Peak list (10 most intense, 2θ from 10° to 90°, sorted by position)
2θ (°), I (rel.)
23.21, 100
25.01, 14
25.16, 19
30.14, 15
35.77, 12
39.65, 12
42.99, 18
43.17, 17
47.45, 14
49.55, 11

Cell and atoms:
```
30
Lattice="0.0000 7.0794 7.1205 5.9312 0.0000 7.1205 5.9312 7.0794 0.0000" Properties=species:S:1:pos:R:3 pbc="T T T"
Ba 0.0000 0.0000 0.0000
As 2.9656 3.5397 0.0000
As 2.9656 3.5397 7.1205
Xe 2.9656 0.0000 3.5602
Xe 5.9312 3.5397 3.5602
Xe 0.0000 3.5397 3.5602
Xe 2.9656 7.0794 3.5602
Xe 5.9312 7.0794 7.1205
F 7.4874 2.4397 7.1205
F 8.1179 4.5159 5.8661
F 5.9312 5.3611 2.5549
F 9.6011 7.0794 5.5120
F 8.1179 4.5159 8.3749
F 5.9312 8.7977 2.5549
F 4.3750 2.4397 7.1205
F 9.6011 7.0794 8.7290
F 5.9312 7.0794 5.0450
F 8.1179 9.6429 5.8661
F 3.7445 4.5159 5.8661
F 8.1179 9.6429 8.3749
F 3.7445 4.5159 8.3749
F 5.9312 7.0794 9.1960
F 2.2613 7.0794 5.5120
F 7.4874 11.7191 7.1205
F 5.9312 5.3611 11.6860
F 3.7445 9.6429 5.8661
F 2.2613 7.0794 8.7290
F 5.9312 8.7977 11.6860
F 3.7445 9.6429 8.3749
F 4.3750 11.7191 7.1205
```

=====

YCu2Ni9: simulated X-ray diffraction stick pattern (Cu Ka), based on a DFT-relaxed cell (GGA-PBE, Alexandria).
Lines closer than 0.1° are merged.

Peak list (10 most intense, 2θ from 10° to 90°, sorted by position)
2θ (°), I (rel.)
37.08, 28
38.19, 15
40.48, 100
44.63, 43
45.18, 51
46.12, 92
46.83, 68
48.28, 18
72.37, 18
87.55, 16

Cell and atoms:
```
24
Lattice="7.9979 0.0000 0.0000 0.0000 7.9979 0.0000 0.0000 0.0000 4.7136" Properties=species:S:1:pos:R:3 pbc="T T T"
Y 0.0000 0.0000 0.0000
Y 3.9990 3.9990 0.0000
Cu 0.9173 3.0817 0.0000
Cu 3.0817 7.0806 0.0000
Cu 4.9162 0.9173 0.0000
Cu 7.0806 4.9162 0.0000
Ni 0.0000 3.9990 2.3568
Ni 0.5144 1.6833 2.3568
Ni 1.4304 5.4294 1.1296
Ni 1.4304 5.4294 3.5840
Ni 1.6833 7.4835 2.3568
Ni 2.3156 3.4846 2.3568
Ni 2.5685 1.4304 1.1296
Ni 2.5685 1.4304 3.5840
Ni 3.4846 5.6823 2.3568
Ni 3.9990 0.0000 2.3568
Ni 4.5133 2.3156 2.3568
Ni 5.4294 6.5675 1.1296
Ni 5.4294 6.5675 3.5840
Ni 5.6823 4.5133 2.3568
Ni 6.3146 0.5144 2.3568
Ni 6.5675 2.5685 1.1296
Ni 6.5675 2.5685 3.5840
Ni 7.4835 6.3146 2.3568
```

=====

Ba4Mg3In2: simulated X-ray diffraction stick pattern (Cu Ka), based on a DFT-relaxed cell (GGA-PBE, Alexandria).
Lines closer than 0.1° are merged.

Peak list (10 most intense, 2θ from 10° to 90°, sorted by position)
2θ (°), I (rel.)
18.82, 98
25.71, 100
27.41, 61
28.03, 89
29.80, 57
30.04, 70
30.81, 88
31.02, 87
36.76, 62
45.38, 55

Cell and atoms:
```
9
Lattice="9.3065 -2.4450 0.0000 9.3065 2.4450 0.0000 -2.3085 0.0000 7.8082" Properties=species:S:1:pos:R:3 pbc="T T T"
Ba 0.5898 0.0000 2.9088
Ba 3.1477 0.0000 6.2461
Ba 13.1568 0.0000 1.5620
Ba 15.7148 0.0000 4.8994
Mg 7.0381 0.0000 2.2047
Mg 9.3065 0.0000 0.0000
Mg 9.2665 0.0000 5.6034
In -0.3367 0.0000 7.4235
In 16.6412 0.0000 0.3847
```

=====

Please write out number 3 again, unchanged.
NdEr7: simulated X-ray diffraction stick pattern (Cu Ka), based on a DFT-relaxed cell (GGA-PBE, Alexandria).
Lines closer than 0.1° are merged.

Peak list (8 most intense, 2θ from 10° to 90°, sorted by position)
2θ (°), I (rel.)
31.10, 100
36.06, 51
51.92, 36
61.76, 43
64.84, 12
76.49, 6
84.84, 18
87.59, 17

Cell and atoms:
```
8
Lattice="0.0000 4.9815 4.9815 4.9815 0.0000 4.9815 4.9815 4.9815 0.0000" Properties=species:S:1:pos:R:3 pbc="T T T"
Nd 0.0000 0.0000 0.0000
Er 2.4908 2.4908 0.0000
Er 2.4908 0.0000 2.4908
Er 4.9815 2.4908 2.4908
Er 0.0000 2.4908 2.4908
Er 2.4908 4.9815 2.4908
Er 2.4908 2.4908 4.9815
Er 4.9815 4.9815 4.9815
```

=====

Number 1 is which compound? TbPH2Ru